Record 1
Theoretical X-ray diffraction stick pattern of Nb6CN2 for Cu Kα X-rays, from DFT lattice parameters and positions (PBE).
Kinematic intensities with the Lorentz-polarization factor, no thermal factor.

Atomic structure:
Lattice parameters (Å, degrees): 5.194 5.194 9.438 90.00 90.00 90.00
Fractional coordinates of all 18 atoms:
Nb 0.208 0.208 0.000
Nb 0.209 0.209 0.332
Nb 0.209 0.209 0.668
Nb 0.291 0.709 0.168
Nb 0.291 0.709 0.832
Nb 0.292 0.708 0.500
Nb 0.708 0.292 0.500
Nb 0.709 0.291 0.168
Nb 0.709 0.291 0.832
Nb 0.791 0.791 0.332
Nb 0.791 0.791 0.668
Nb 0.792 0.792 0.000
C 0.000 0.000 0.500
C 0.500 0.500 0.000
N 0.000 0.000 0.168
N 0.000 0.000 0.832
N 0.500 0.500 0.332
N 0.500 0.500 0.668

Principal peaks in the range 10 to 90 degrees two-theta, in order of rising 2θ:
2θ/deg  d (Å)  I_rel
34.53  2.597  47
37.65  2.389  100
38.76  2.323  25
48.73  1.869  8
49.64  1.836  17
61.09  1.517  15
63.94  1.456  22
69.92  1.345  12
72.11  1.310  10
75.46  1.260  10

---

Record 2
Theoretical X-ray diffraction stick pattern of Sr3Sb2H for Cu Kα X-rays, from DFT lattice parameters and positions (PBE).
Kinematic intensities with the Lorentz-polarization factor, no thermal factor.

Atomic structure:
Lattice parameters (Å, degrees): 9.620 4.269 18.733 90.00 90.00 90.00
Fractional coordinates of all 24 atoms:
Sr 0.019 0.250 0.105
Sr 0.119 0.250 0.580
Sr 0.186 0.750 0.275
Sr 0.314 0.250 0.775
Sr 0.381 0.750 0.080
Sr 0.481 0.750 0.605
Sr 0.519 0.250 0.395
Sr 0.619 0.250 0.920
Sr 0.686 0.750 0.225
Sr 0.814 0.250 0.725
Sr 0.881 0.750 0.420
Sr 0.981 0.750 0.895
Sb 0.080 0.750 0.718
Sb 0.248 0.250 0.956
Sb 0.252 0.750 0.456
Sb 0.420 0.250 0.218
Sb 0.580 0.750 0.782
Sb 0.748 0.250 0.544
Sb 0.752 0.750 0.044
Sb 0.920 0.250 0.282
H 0.140 0.750 0.136
H 0.360 0.250 0.636
H 0.640 0.750 0.364
H 0.860 0.250 0.864

Principal peaks in the range 10 to 90 degrees two-theta, in order of rising 2θ:
2θ/deg  d (Å)  I_rel
23.29  3.819  39
24.72  3.602  38
28.35  3.148  100
29.44  3.034  47
29.56  3.022  93
29.80  2.998  50
33.15  2.703  45
33.98  2.638  44
42.34  2.135  51
52.40  1.746  52

---

Record 3
Theoretical X-ray diffraction stick pattern of BiB2Mo for Cu Kα X-rays, from DFT lattice parameters and positions (PBE).
Kinematic intensities with the Lorentz-polarization factor, no thermal factor.

Atomic structure:
Lattice parameters (Å, degrees): 6.311 6.311 6.311 130.05 130.05 73.33
Fractional coordinates of all 8 atoms:
Bi 0.000 0.000 0.000
Bi 0.750 0.250 0.500
B 0.181 0.625 0.056
B 0.375 0.431 0.556
B 0.569 0.125 0.944
B 0.875 0.819 0.444
Mo 0.250 0.750 0.500
Mo 0.500 0.500 0.000

Principal peaks in the range 10 to 90 degrees two-theta, in order of rising 2θ:
2θ/deg  d (Å)  I_rel
18.82  4.716  16
29.55  3.023  100
33.63  2.665  32
35.46  2.531  14
48.30  1.884  14
49.68  1.835  26
57.65  1.599  31
60.08  1.540  14
61.34  1.511  12
80.58  1.192  18

---

Record 4
Theoretical X-ray diffraction stick pattern of Pm2Sn2Te7 for Cu Kα X-rays, from DFT lattice parameters and positions (PBE).
Kinematic intensities with the Lorentz-polarization factor, no thermal factor.

Atomic structure:
Lattice parameters (Å, degrees): 8.058 8.058 6.301 90.00 90.00 92.51
Fractional coordinates of all 11 atoms:
Pm 0.246 0.246 0.000
Pm 0.754 0.754 0.000
Sn 0.245 0.755 0.500
Sn 0.755 0.245 0.500
Te 0.000 0.000 0.246
Te 0.000 0.000 0.754
Te 0.000 0.500 0.246
Te 0.000 0.500 0.754
Te 0.500 0.000 0.246
Te 0.500 0.000 0.754
Te 0.500 0.500 0.500

Principal peaks in the range 10 to 90 degrees two-theta, in order of rising 2θ:
2θ/deg  d (Å)  I_rel
20.77  4.276  25
21.29  4.174  65
30.72  2.911  57
32.13  2.786  51
36.21  2.481  100
37.67  2.388  40
45.05  2.012  40
58.25  1.584  25
59.97  1.543  23
76.85  1.240  16

---

Record 5
Theoretical X-ray diffraction stick pattern of Pr2SiPd4Au2 for Cu Kα X-rays, from DFT lattice parameters and positions (PBE).
Kinematic intensities with the Lorentz-polarization factor, no thermal factor.

Atomic structure:
Lattice parameters (Å, degrees): 6.362 6.362 6.362 121.00 121.00 88.28
Fractional coordinates of all 9 atoms:
Pr 0.250 0.750 0.500
Pr 0.750 0.250 0.500
Si 0.000 0.000 0.000
Pd 0.269 0.269 0.538
Pd 0.269 0.731 0.000
Pd 0.731 0.269 0.000
Pd 0.731 0.731 0.462
Au 0.277 0.277 0.000
Au 0.723 0.723 0.000

Principal peaks in the range 10 to 90 degrees two-theta, in order of rising 2θ:
2θ/deg  d (Å)  I_rel
28.49  3.133  6
34.73  2.583  100
39.48  2.283  18
40.73  2.215  36
43.92  2.061  7
58.02  1.590  22
58.97  1.566  12
68.56  1.369  10
70.28  1.339  23
73.30  1.292  10

---

Record 6
Theoretical X-ray diffraction stick pattern of DyS5Cl for Cu Kα X-rays, from DFT lattice parameters and positions (PBE).
Kinematic intensities with the Lorentz-polarization factor, no thermal factor.

Atomic structure:
Lattice parameters (Å, degrees): 11.664 11.664 4.156 98.64 98.64 151.51
Fractional coordinates of all 7 atoms:
Dy 0.000 0.000 0.000
S 0.044 0.576 0.477
S 0.174 0.295 0.684
S 0.424 0.956 0.523
S 0.705 0.826 0.316
S 0.790 0.210 0.000
Cl 0.567 0.433 0.500

Principal peaks in the range 10 to 90 degrees two-theta, in order of rising 2θ:
2θ/deg  d (Å)  I_rel
15.68  5.653  100
19.92  4.457  39
21.96  4.047  29
22.84  3.893  21
24.65  3.611  46
27.83  3.206  41
29.35  3.043  25
35.21  2.549  22
36.24  2.479  30
42.84  2.111  26

---

Record 7
Theoretical X-ray diffraction stick pattern of USCl2 for Cu Kα X-rays, from DFT lattice parameters and positions (PBE).
Kinematic intensities with the Lorentz-polarization factor, no thermal factor.

Atomic structure:
Lattice parameters (Å, degrees): 7.103 7.103 7.103 146.24 137.55 55.30
Fractional coordinates of all 4 atoms:
U 0.000 0.000 0.000
S 0.500 0.000 0.500
Cl 0.142 0.642 0.500
Cl 0.858 0.358 0.500

Principal peaks in the range 10 to 90 degrees two-theta, in order of rising 2θ:
2θ/deg  d (Å)  I_rel
14.08  6.292  100
18.64  4.761  100
22.69  3.920  50
30.39  2.941  58
31.22  2.865  44
34.89  2.572  21
40.08  2.249  35
42.04  2.149  39
46.93  1.936  34
55.76  1.649  19

---

Record 8
Theoretical X-ray diffraction stick pattern of VCuB2 for Cu Kα X-rays, from DFT lattice parameters and positions (PBE).
Kinematic intensities with the Lorentz-polarization factor, no thermal factor.

Atomic structure:
Lattice parameters (Å, degrees): 7.440 7.440 7.440 152.66 152.66 39.05
Fractional coordinates of all 8 atoms:
V 0.375 0.625 0.750
V 0.625 0.375 0.250
Cu 0.125 0.875 0.250
Cu 0.875 0.125 0.750
B 0.000 0.000 0.000
B 0.000 0.000 0.500
B 0.000 0.500 0.000
B 0.500 0.000 0.500

Principal peaks in the range 10 to 90 degrees two-theta, in order of rising 2θ:
2θ/deg  d (Å)  I_rel
25.40  3.506  55
38.41  2.343  100
52.02  1.758  19
52.18  1.753  12
53.83  1.703  35
58.75  1.572  26
76.78  1.241  11
78.27  1.221  10
82.29  1.172  11
89.18  1.098  15

---

Record 9
Theoretical X-ray diffraction stick pattern of NaNi4As3 for Cu Kα X-rays, from DFT lattice parameters and positions (PBE).
Kinematic intensities with the Lorentz-polarization factor, no thermal factor.

Atomic structure:
Lattice parameters (Å, degrees): 3.979 3.979 7.774 90.00 90.00 90.00
Fractional coordinates of all 8 atoms:
Na 0.000 0.000 0.000
Ni 0.000 0.500 0.329
Ni 0.000 0.500 0.671
Ni 0.500 0.000 0.329
Ni 0.500 0.000 0.671
As 0.000 0.000 0.500
As 0.500 0.500 0.169
As 0.500 0.500 0.831

Principal peaks in the range 10 to 90 degrees two-theta, in order of rising 2θ:
2θ/deg  d (Å)  I_rel
11.38  7.774  44
25.14  3.542  44
32.19  2.781  48
33.88  2.646  26
39.54  2.279  21
45.60  1.990  70
47.71  1.906  100
56.91  1.618  18
66.46  1.407  21
85.85  1.132  35